# 1
This entry pairs a crystal structure of Mg6CuSiO8 with its theoretical powder X-ray diffraction pattern. Radiation: Cu Kα (λ = 1.5418 Å). Structure: a PBE-relaxed structure.
Neutral-atom scattering factors, no anomalous dispersion.

Main lines, low angle first (10° ≤ 2θ ≤ 90°):
two_theta, I (rel.), hkl
10.3, 8, 0 0 1
20.7, 11, 0 0 2
29.4, 9, 1 0 2
36.3, 22, 1 1 2
37.8, 5, 1 0 3
42.1, 100, 2 0 0
43.5, 7, 1 1 3
61.1, 56, 2 2 0
73.2, 13, 1 1 6
77.0, 17, 2 2 4

Atomic structure:
a = 4.2894 Å, b = 4.2894 Å, c = 8.5833 Å
α = 90.00°, β = 90.00°, γ = 90.00°
Space group P4/mmm (No. 123)
One atom of each set of equivalent atoms:
Mg 0.0000 0.0000 0.0000 [1 per cell]
Mg 0.0000 0.0000 0.5000 [1 per cell]
Mg 0.0000 0.5000 0.2411 [4 per cell]
Cu 0.5000 0.5000 0.0000 [1 per cell]
Si 0.5000 0.5000 0.5000 [1 per cell]
O 0.0000 0.0000 0.2513 [2 per cell]
O 0.0000 0.5000 0.0000 [2 per cell]
O 0.0000 0.5000 0.5000 [2 per cell]
O 0.5000 0.5000 0.2867 [2 per cell]

---

# 2
This entry pairs a crystal structure of Mg3Cu2Si4O14 with its theoretical powder X-ray diffraction pattern. Radiation: Cu Kα (λ = 1.5418 Å). Structure: a PBE-relaxed structure.
Neutral-atom scattering factors, no anomalous dispersion.

Main lines, low angle first (10° ≤ 2θ ≤ 90°):
two_theta, I (rel.), hkl
12.6, 93, 2 0 0
13.2, 35, 1 1 0
19.3, 62, 1 1 1
28.7, 100, 1 1 2
29.4, 63, 3 1 1
31.6, 41, 4 2 -1
32.1, 37, 1 1 -3
32.2, 87, 0 2 2
38.4, 35, 6 0 0
39.3, 55, 6 2 -2

Atomic structure:
a = 17.2028 Å, b = 7.6356 Å, c = 9.9514 Å
α = 90.00°, β = 125.27°, γ = 90.00°
Space group C2/c (No. 15)
One atom of each set of equivalent atoms:
Mg 0.0000 0.1085 0.2500 [4 per cell]
Mg 0.1651 0.4053 0.4517 [8 per cell]
Cu 0.0000 0.2800 0.7500 [4 per cell]
Cu 0.0000 0.5000 0.0000 [4 per cell]
Si 0.1175 0.1296 0.6296 [8 per cell]
Si 0.1849 0.2432 0.1706 [8 per cell]
O 0.0440 0.0916 0.6802 [8 per cell]
O 0.0642 0.4507 0.7215 [8 per cell]
O 0.0728 0.2457 0.4616 [8 per cell]
O 0.1183 0.4041 0.0446 [8 per cell]
O 0.1515 0.0499 0.0833 [8 per cell]
O 0.1962 0.2285 0.3425 [8 per cell]
O 0.2114 0.2169 0.7966 [8 per cell]